For KNa2WN3, DFT lattice parameters and positions (PBE) gives the theoretical powder diffraction line list in this record (Cu Kα X-rays).
Lines closer than 0.1° are merged.

Lattice parameters (Å, degrees): 12.522 6.310 12.183 90.00 90.00 90.00
Space group Pca2_1 (No. 29)
Inequivalent atoms, fractional coordinates:
K1 0.011 0.059 0.000 x4
K2 0.199 0.376 0.752 x4
Na1 0.035 0.542 0.126 x4
Na2 0.037 0.514 0.378 x4
Na3 0.120 0.846 0.752 x4
Na4 0.240 0.232 0.503 x4
W1 0.119 0.976 0.254 x4
W2 0.249 0.724 0.003 x4
N1 0.007 0.171 0.757 x4
N2 0.085 0.257 0.249 x4
N3 0.138 0.560 0.551 x4
N4 0.142 0.546 0.956 x4
N5 0.201 0.905 0.122 x4
N6 0.204 0.911 0.385 x4

Most intense lines, 2θ = 5–70°, in order of rising 2θ:
hkl	two_theta	I/Imax
1 1 0	15.7	87
2 0 1	15.9	71
0 1 2	20.3	100
2 1 1	21.3	98
1 1 2	21.5	76
4 0 2	32.1	86

=====

For KNiN, DFT lattice parameters and positions (PBE) gives the theoretical powder diffraction line list in this record (Cu Kα X-rays).
Lines closer than 0.1° are merged.

Lattice parameters (Å, degrees): 10.417 3.432 6.070 90.00 90.00 90.00
Space group Pnma (No. 62)
Inequivalent atoms, fractional coordinates:
K1 0.158 0.250 0.070 x4
Ni1 0.055 0.250 0.586 x4
N1 0.072 0.750 0.672 x4

Most intense lines, 2θ = 5–70°, in order of rising 2θ:
hkl	two_theta	I/Imax
1 0 1	16.9	100
2 0 0	17.0	61
3 0 1	29.6	76
2 1 0	31.2	76
1 1 2	40.6	54
5 1 1	53.6	43

=====

For KNiN, DFT lattice parameters and positions (PBE) gives the theoretical powder diffraction line list in this record (Cu Kα X-rays).
Lines closer than 0.1° are merged.

Lattice parameters (Å, degrees): 5.662 3.237 5.492 90.00 111.01 90.00
Space group Cm (No. 8)
Inequivalent atoms, fractional coordinates:
K1 0.000 0.000 0.000 x2
Ni1 0.000 0.500 0.520 x2
N1 0.185 0.000 0.569 x2

Most intense lines, 2θ = 5–70°, in order of rising 2θ:
hkl	two_theta	I/Imax
0 0 1	17.3	30
2 0 0	33.9	100
0 0 2	35.0	43
2 0 -2	39.2	26
1 1 1	39.9	49
3 1 -1	56.4	20

=====

For KNiN, DFT lattice parameters and positions (PBE) gives the theoretical powder diffraction line list in this record (Cu Kα X-rays).
Lines closer than 0.1° are merged.

Lattice parameters (Å, degrees): 8.702 3.126 4.609 90.00 90.52 90.00
Space group Cm (No. 8)
Inequivalent atoms, fractional coordinates:
K1 0.000 0.000 0.000 x2
Ni1 0.257 0.000 0.477 x2
N1 0.209 0.500 0.353 x2

Most intense lines, 2θ = 5–70°, in order of rising 2θ:
hkl	two_theta	I/Imax
2 0 -1	28.1	100
2 0 1	28.3	82
1 1 0	30.4	43
1 1 -1	36.2	34
1 1 1	36.3	40
0 0 2	39.1	30

=====

For K4NO, DFT lattice parameters and positions (PBE) gives the theoretical powder diffraction line list in this record (Cu Kα X-rays).
Lines closer than 0.1° are merged.

Lattice parameters (Å, degrees): 4.670 4.670 6.749 90.00 90.00 90.00
Space group P4/mmm (No. 123)
Inequivalent atoms, fractional coordinates:
K1 0.000 0.500 0.240 x4
N1 0.000 0.000 0.500 x1
O1 0.500 0.500 0.000 x1

Most intense lines, 2θ = 5–70°, in order of rising 2θ:
hkl	two_theta	I/Imax
0 0 2	26.4	34
1 1 0	27.0	64
1 1 2	38.1	100
2 0 0	38.6	49
2 0 2	47.3	24
3 1 2	69.5	26